No. 1
Structure and simulated powder XRD pattern of Na2As2PdRu (a DFT-relaxed cell (GGA-PBE, Alexandria); Cu Kα (weighted mean of Kα1 and Kα2)).

Principal peaks in the range 10 to 90 degrees two-theta, in order of rising 2θ:
d (Å)	I_rel
6.881	100
3.560	19
2.722	16
2.687	16
2.246	31
2.226	29
2.080	31
1.991	16

Atomic structure:
Lattice parameters (Å, degrees): 8.041 8.041 8.041 137.43 62.31 136.74
Fractional positions:
Na 0.172 0.231 0.403
Na 0.328 0.731 0.059
Na 0.672 0.269 0.941
Na 0.828 0.769 0.597
As 0.104 0.727 0.831
As 0.396 0.227 0.623
As 0.604 0.773 0.377
As 0.896 0.273 0.169
Pd 0.250 0.250 0.000
Pd 0.750 0.750 0.000
Ru 0.250 0.750 0.500
Ru 0.750 0.250 0.500

=====

No. 2
Structure and simulated powder XRD pattern of Ho6TlCd6 (a DFT-relaxed cell (GGA-PBE, Alexandria); Cu Kα (weighted mean of Kα1 and Kα2)).

Principal peaks in the range 10 to 90 degrees two-theta, in order of rising 2θ:
d (Å)	I_rel
3.043	70
2.999	43
2.735	34
2.659	100
2.635	43
2.374	71
1.564	42
1.521	34

Atomic structure:
Lattice parameters (Å, degrees): 6.086 6.086 10.941 90.00 90.00 120.00
Fractional positions:
Ho 0.000 0.000 0.157
Ho 0.000 0.000 0.843
Ho 0.333 0.667 0.000
Ho 0.333 0.667 0.500
Ho 0.667 0.333 0.000
Ho 0.667 0.333 0.500
Tl 0.000 0.000 0.500
Cd 0.000 0.500 0.253
Cd 0.000 0.500 0.747
Cd 0.500 0.000 0.253
Cd 0.500 0.000 0.747
Cd 0.500 0.500 0.253
Cd 0.500 0.500 0.747

=====

No. 3
Structure and simulated powder XRD pattern of Cs2NaHfB (a DFT-relaxed cell (GGA-PBE, Alexandria); Cu Kα (weighted mean of Kα1 and Kα2)).

Principal peaks in the range 10 to 90 degrees two-theta, in order of rising 2θ:
d (Å)	I_rel
6.483	39
4.398	17
3.640	100
3.241	46
2.993	19
2.292	18
2.199	31
1.939	34

Atomic structure:
Lattice parameters (Å, degrees): 6.483 6.483 5.986 90.00 90.00 90.00
Fractional positions:
Cs 0.000 0.500 0.000
Cs 0.500 0.000 0.000
Na 0.000 0.000 0.000
Hf 0.000 0.000 0.500
B 0.500 0.500 0.500

=====

No. 4
Structure and simulated powder XRD pattern of Ac6DyHo (a DFT-relaxed cell (GGA-PBE, Alexandria); Cu Kα (weighted mean of Kα1 and Kα2)).

Principal peaks in the range 10 to 90 degrees two-theta, in order of rising 2θ:
d (Å)	I_rel
3.173	100
2.789	37
2.670	15
1.972	14
1.929	23
1.675	32
1.623	12
1.586	13

Atomic structure:
Lattice parameters (Å, degrees): 5.578 5.578 21.363 90.00 90.00 90.00
Fractional positions:
Ac 0.000 0.000 0.250
Ac 0.000 0.000 0.750
Ac 0.000 0.500 0.116
Ac 0.000 0.500 0.384
Ac 0.000 0.500 0.616
Ac 0.000 0.500 0.884
Ac 0.500 0.000 0.116
Ac 0.500 0.000 0.384
Ac 0.500 0.000 0.616
Ac 0.500 0.000 0.884
Ac 0.500 0.500 0.250
Ac 0.500 0.500 0.750
Dy 0.000 0.000 0.000
Dy 0.500 0.500 0.500
Ho 0.000 0.000 0.500
Ho 0.500 0.500 0.000

=====

No. 5
Structure and simulated powder XRD pattern of Ta3V5H2 (a DFT-relaxed cell (GGA-PBE, Alexandria); Cu Kα (weighted mean of Kα1 and Kα2)).

Principal peaks in the range 10 to 90 degrees two-theta, in order of rising 2θ:
d (Å)	I_rel
3.668	39
3.515	9
2.267	100
2.206	49
1.650	13
1.321	15
1.286	16
1.284	15

Atomic structure:
Lattice parameters (Å, degrees): 7.711 7.711 7.711 129.32 72.22 132.20
Fractional positions:
Ta 0.131 0.728 0.859
Ta 0.250 0.250 0.000
Ta 0.369 0.228 0.597
Ta 0.631 0.772 0.403
Ta 0.750 0.750 0.000
Ta 0.869 0.272 0.141
V 0.002 0.750 0.252
V 0.130 0.278 0.407
V 0.250 0.750 0.500
V 0.370 0.778 0.148
V 0.498 0.750 0.748
V 0.502 0.250 0.252
V 0.630 0.222 0.852
V 0.750 0.250 0.500
V 0.870 0.722 0.593
V 0.998 0.250 0.748
H 0.098 0.012 0.111
H 0.402 0.512 0.914
H 0.598 0.488 0.086
H 0.902 0.988 0.889

=====

No. 6
Structure and simulated powder XRD pattern of Dy8TlPb5 (a DFT-relaxed cell (GGA-PBE, Alexandria); Cu Kα (weighted mean of Kα1 and Kα2)).

Principal peaks in the range 10 to 90 degrees two-theta, in order of rising 2θ:
d (Å)	I_rel
2.971	100
2.511	64
2.101	18
1.918	13
1.842	21
1.525	15
1.523	14
1.450	14

Atomic structure:
Lattice parameters (Å, degrees): 8.135 8.135 8.135 109.53 109.53 109.36
Fractional positions:
Dy 0.125 0.376 0.108
Dy 0.127 0.377 0.612
Dy 0.267 0.016 0.892
Dy 0.485 0.873 0.251
Dy 0.623 0.234 0.749
Dy 0.624 0.733 0.749
Dy 0.766 0.515 0.388
Dy 0.984 0.875 0.251
Tl 0.500 0.500 0.000
Pb 0.250 0.750 0.500
Pb 0.375 0.250 0.374
Pb 0.750 0.124 0.125
Pb 0.876 0.001 0.626
Pb 0.999 0.625 0.875

=====

No. 7
Structure and simulated powder XRD pattern of Tb4TeSe5 (a DFT-relaxed cell (GGA-PBE, Alexandria); Cu Kα (weighted mean of Kα1 and Kα2)).

Principal peaks in the range 10 to 90 degrees two-theta, in order of rising 2θ:
d (Å)	I_rel
8.269	27
5.273	21
3.001	100
2.888	40
2.118	39
2.090	19
2.045	23
1.693	18

Atomic structure:
Lattice parameters (Å, degrees): 9.282 9.282 8.633 106.25 106.25 26.02
Fractional positions:
Tb 0.006 0.006 0.274
Tb 0.316 0.316 0.875
Tb 0.684 0.684 0.125
Tb 0.994 0.994 0.726
Te 0.500 0.500 0.000
Se 0.160 0.160 0.873
Se 0.164 0.164 0.331
Se 0.500 0.500 0.500
Se 0.836 0.836 0.669
Se 0.840 0.840 0.127

=====

No. 8
Structure and simulated powder XRD pattern of ScMn2Se (a DFT-relaxed cell (GGA-PBE, Alexandria); Cu Kα (weighted mean of Kα1 and Kα2)).

Principal peaks in the range 10 to 90 degrees two-theta, in order of rising 2θ:
d (Å)	I_rel
4.873	51
2.470	100
2.203	40
1.934	79
1.798	19
1.772	17
1.523	20
1.196	17

Atomic structure:
Lattice parameters (Å, degrees): 3.868 3.868 14.620 90.00 90.00 120.00
Fractional positions:
Sc 0.000 0.000 0.000
Sc 0.333 0.667 0.667
Sc 0.667 0.333 0.333
Mn 0.000 0.000 0.210
Mn 0.000 0.000 0.521
Mn 0.333 0.667 0.188
Mn 0.333 0.667 0.877
Mn 0.667 0.333 0.543
Mn 0.667 0.333 0.854
Se 0.000 0.000 0.783
Se 0.333 0.667 0.450
Se 0.667 0.333 0.117

=====

No. 9
Structure and simulated powder XRD pattern of PuO3F (a DFT-relaxed cell (GGA-PBE, Alexandria); Cu Kα (weighted mean of Kα1 and Kα2)).

Principal peaks in the range 10 to 90 degrees two-theta, in order of rising 2θ:
d (Å)	I_rel
4.934	100
3.981	26
3.451	20
3.143	16
2.968	26
2.706	17
2.484	13
2.445	16

Atomic structure:
Lattice parameters (Å, degrees): 3.479 6.336 7.963 89.95 89.95 82.80
Fractional positions:
Pu 0.000 0.250 0.243
Pu 0.000 0.750 0.757
O 0.000 0.250 0.014
O 0.000 0.750 0.986
O 0.447 0.054 0.249
O 0.447 0.554 0.751
O 0.553 0.446 0.249
O 0.553 0.946 0.751
F 0.000 0.250 0.496
F 0.000 0.750 0.504

=====

No. 10
Structure and simulated powder XRD pattern of Cu2SbAuSe4 (a DFT-relaxed cell (GGA-PBE, Alexandria); Cu Kα (weighted mean of Kα1 and Kα2)).

Principal peaks in the range 10 to 90 degrees two-theta, in order of rising 2θ:
d (Å)	I_rel
3.368	100
2.614	10
2.073	25
2.057	46
1.765	31
1.746	14
1.335	11
1.194	16

Atomic structure:
Lattice parameters (Å, degrees): 5.864 5.864 11.549 90.00 90.00 90.00
Fractional positions:
Cu 0.000 0.500 0.250
Cu 0.000 0.500 0.750
Cu 0.500 0.000 0.250
Cu 0.500 0.000 0.750
Sb 0.000 0.000 0.000
Sb 0.500 0.500 0.500
Au 0.000 0.000 0.500
Au 0.500 0.500 0.000
Se 0.247 0.247 0.360
Se 0.247 0.753 0.640
Se 0.253 0.253 0.860
Se 0.253 0.747 0.140
Se 0.747 0.253 0.140
Se 0.747 0.747 0.860
Se 0.753 0.247 0.640
Se 0.753 0.753 0.360

=====

No. 11
Structure and simulated powder XRD pattern of PmTmReO6 (a DFT-relaxed cell (GGA-PBE, Alexandria); Cu Kα (weighted mean of Kα1 and Kα2)).

Principal peaks in the range 10 to 90 degrees two-theta, in order of rising 2θ:
d (Å)	I_rel
3.337	100
2.788	57
2.386	11
2.139	30
1.778	43
1.697	29
1.610	17
1.286	12

Atomic structure:
Lattice parameters (Å, degrees): 5.576 5.576 9.232 90.00 90.00 120.00
Fractional positions:
Pm 0.333 0.667 0.250
Pm 0.667 0.333 0.750
Tm 0.000 0.000 0.000
Tm 0.000 0.000 0.500
Re 0.333 0.667 0.750
Re 0.667 0.333 0.250
O 0.056 0.369 0.631
O 0.056 0.687 0.869
O 0.313 0.369 0.869
O 0.313 0.944 0.631
O 0.369 0.056 0.131
O 0.369 0.313 0.369
O 0.631 0.687 0.631
O 0.631 0.944 0.869
O 0.687 0.056 0.369
O 0.687 0.631 0.131
O 0.944 0.313 0.131
O 0.944 0.631 0.369

=====

No. 12
Structure and simulated powder XRD pattern of TeP2Os (a DFT-relaxed cell (GGA-PBE, Alexandria); Cu Kα (weighted mean of Kα1 and Kα2)).

Principal peaks in the range 10 to 90 degrees two-theta, in order of rising 2θ:
d (Å)	I_rel
4.513	100
3.025	35
2.686	55
2.513	92
2.425	25
2.256	29
1.892	34
1.783	34

Atomic structure:
Lattice parameters (Å, degrees): 5.028 3.025 5.404 90.00 116.15 90.00
Fractional positions:
Te 0.000 0.000 0.000
P 0.412 0.500 0.661
P 0.588 0.500 0.339
Os 0.000 0.000 0.500

=====

No. 13
Structure and simulated powder XRD pattern of Ac3Ni4Ge2 (a DFT-relaxed cell (GGA-PBE, Alexandria); Cu Kα (weighted mean of Kα1 and Kα2)).

Principal peaks in the range 10 to 90 degrees two-theta, in order of rising 2θ:
d (Å)	I_rel
3.693	18
3.638	35
2.831	34
2.799	100
2.783	65
2.175	25
2.122	46
2.090	22

Atomic structure:
Lattice parameters (Å, degrees): 6.106 6.106 8.531 99.44 99.44 40.03
Fractional positions:
Ac 0.000 0.000 0.000
Ac 0.336 0.336 0.328
Ac 0.664 0.664 0.672
Ni 0.055 0.055 0.389
Ni 0.277 0.277 0.939
Ni 0.723 0.723 0.061
Ni 0.945 0.945 0.611
Ge 0.387 0.387 0.718
Ge 0.613 0.613 0.282